[1]
Simulated powder XRD pattern
Compound: B2TeO5
Radiation: Cu Ka
Structure: DFT lattice parameters and positions (PBE)
Peak positions follow from Bragg's law for the DFT cell and can differ from measured ones.

Main lines, in order of rising 2θ (10° ≤ 2θ ≤ 90°):
d 6.955, 12.73°, I 76, hkl 1 1 0
d 5.080, 17.46°, I 81, hkl 0 2 0
d 4.770, 18.60°, I 71, hkl 2 0 0
d 4.427, 20.06°, I 45, hkl 0 2 1
d 4.133, 21.50°, I 100, hkl 2 0 -2
d 3.587, 24.82°, I 63, hkl 2 2 -1
d 3.477, 25.62°, I 40, hkl 2 2 0
d 3.388, 26.30°, I 93, hkl 1 1 2
d 3.075, 29.04°, I 36, hkl 3 1 -2
d 2.339, 38.48°, I 59, hkl 1 1 -4

```
data_B2TeO5
_chemical_formula_sum 'B16 Te8 O40'
_space_group_name_H-M_alt 'C 1 2/c 1'
_space_group_IT_number 15
_cell_length_a 10.277
_cell_length_b 10.161
_cell_length_c 9.719
_cell_angle_alpha 90.00
_cell_angle_beta 111.83
_cell_angle_gamma 90.00
loop_
_space_group_symop_operation_xyz
'x,y,z'
'-x,-y,-z'
'-x,y,-z+1/2'
'x,-y,z+1/2'
'x+1/2,y+1/2,z'
'-x+1/2,-y+1/2,-z'
'-x+1/2,y+1/2,-z+1/2'
'x+1/2,-y+1/2,z+1/2'
loop_
_atom_site_label
_atom_site_type_symbol
_atom_site_fract_x
_atom_site_fract_y
_atom_site_fract_z
_atom_site_occupancy
B1 B 0.116 0.244 0.131 1
B2 B 0.178 0.424 0.996 1
Te1 Te 0.174 0.055 0.674 1
O1 O 0.063 0.118 0.110 1
O2 O 0.098 0.318 0.002 1
O3 O 0.174 0.459 0.856 1
O4 O 0.188 0.293 0.269 1
O5 O 0.232 0.004 0.884 1
```



[2]
Simulated powder XRD pattern
Compound: ThB2O5
Radiation: Cu Ka
Structure: DFT lattice parameters and positions (PBE)
Peak positions follow from Bragg's law for the DFT cell and can differ from measured ones.

Main lines, in order of rising 2θ (10° ≤ 2θ ≤ 90°):
d 5.665, 15.64°, I 52, hkl 2 0 0
d 5.413, 16.38°, I 100, hkl 1 1 -1
d 5.151, 17.22°, I 54, hkl 0 0 2
d 3.502, 25.43°, I 50, hkl 0 2 0
d 3.477, 25.62°, I 68, hkl 2 0 2
d 3.342, 26.67°, I 59, hkl 3 1 -1
d 3.317, 26.88°, I 29, hkl 0 2 1
d 3.122, 28.59°, I 49, hkl 1 1 -3
d 2.634, 34.03°, I 26, hkl 3 1 -3
d 1.887, 48.23°, I 27, hkl 1 1 5

```
data_ThB2O5
_chemical_formula_sum 'Th8 B16 O40'
_space_group_name_H-M_alt 'C 1 2/c 1'
_space_group_IT_number 15
_cell_length_a 11.569
_cell_length_b 7.004
_cell_length_c 10.519
_cell_angle_alpha 90.00
_cell_angle_beta 101.68
_cell_angle_gamma 90.00
loop_
_space_group_symop_operation_xyz
'x,y,z'
'-x,-y,-z'
'-x,y,-z+1/2'
'x,-y,z+1/2'
'x+1/2,y+1/2,z'
'-x+1/2,-y+1/2,-z'
'-x+1/2,y+1/2,-z+1/2'
'x+1/2,-y+1/2,z+1/2'
loop_
_atom_site_label
_atom_site_type_symbol
_atom_site_fract_x
_atom_site_fract_y
_atom_site_fract_z
_atom_site_occupancy
Th1 Th 0.183 0.205 0.308 1
B1 B 0.024 0.254 0.497 1
B2 B 0.135 0.299 0.858 1
O1 O 0.025 0.200 0.129 1
O2 O 0.040 0.320 0.916 1
O3 O 0.145 0.253 0.529 1
O4 O 0.183 0.458 0.811 1
O5 O 0.185 0.128 0.836 1
```



Repeat the first record exactly.
Simulated powder XRD pattern
Compound: B2TeO5
Radiation: Cu Ka
Structure: DFT lattice parameters and positions (PBE)
Peak positions follow from Bragg's law for the DFT cell and can differ from measured ones.

Main lines, in order of rising 2θ (10° ≤ 2θ ≤ 90°):
d 6.955, 12.73°, I 76, hkl 1 1 0
d 5.080, 17.46°, I 81, hkl 0 2 0
d 4.770, 18.60°, I 71, hkl 2 0 0
d 4.427, 20.06°, I 45, hkl 0 2 1
d 4.133, 21.50°, I 100, hkl 2 0 -2
d 3.587, 24.82°, I 63, hkl 2 2 -1
d 3.477, 25.62°, I 40, hkl 2 2 0
d 3.388, 26.30°, I 93, hkl 1 1 2
d 3.075, 29.04°, I 36, hkl 3 1 -2
d 2.339, 38.48°, I 59, hkl 1 1 -4

```
data_B2TeO5
_chemical_formula_sum 'B16 Te8 O40'
_space_group_name_H-M_alt 'C 1 2/c 1'
_space_group_IT_number 15
_cell_length_a 10.277
_cell_length_b 10.161
_cell_length_c 9.719
_cell_angle_alpha 90.00
_cell_angle_beta 111.83
_cell_angle_gamma 90.00
loop_
_space_group_symop_operation_xyz
'x,y,z'
'-x,-y,-z'
'-x,y,-z+1/2'
'x,-y,z+1/2'
'x+1/2,y+1/2,z'
'-x+1/2,-y+1/2,-z'
'-x+1/2,y+1/2,-z+1/2'
'x+1/2,-y+1/2,z+1/2'
loop_
_atom_site_label
_atom_site_type_symbol
_atom_site_fract_x
_atom_site_fract_y
_atom_site_fract_z
_atom_site_occupancy
B1 B 0.116 0.244 0.131 1
B2 B 0.178 0.424 0.996 1
Te1 Te 0.174 0.055 0.674 1
O1 O 0.063 0.118 0.110 1
O2 O 0.098 0.318 0.002 1
O3 O 0.174 0.459 0.856 1
O4 O 0.188 0.293 0.269 1
O5 O 0.232 0.004 0.884 1
```